For LiAc2NiPd6, a GGA-PBE-relaxed structure gives the computed X-ray diffraction stick pattern in this record (Cu Kα (weighted mean of Kα1 and Kα2)).
Lines closer than 0.1° are merged.

Atomic structure:
```
data_LiAc2NiPd6
_space_group_name_H-M_alt 'P -1'
_space_group_IT_number 2
_cell_length_a 5.443
_cell_length_b 6.679
_cell_length_c 6.755
_cell_angle_alpha 82.61
_cell_angle_beta 66.54
_cell_angle_gamma 66.23
loop_
_space_group_symop_operation_xyz
'x,y,z'
'-x,-y,-z'
loop_
_atom_site_label
_atom_site_type_symbol
_atom_site_fract_x
_atom_site_fract_y
_atom_site_fract_z
_atom_site_occupancy
Li1 Li 0.000 0.000 0.000 1
Ac1 Ac 0.467 0.776 0.292 1
Ni1 Ni 0.000 0.500 0.500 1
Pd1 Pd 0.001 0.759 0.741 1
Pd2 Pd 0.156 0.589 0.089 1
Pd3 Pd 0.500 0.246 0.255 1
```

The 8 most intense peaks (10° ≤ 2θ ≤ 80°), sorted by position:
2θ/deg, d/Å, I_rel, h k l
27.9, 3.200, 33, 1 0 2
28.1, 3.177, 35, 1 2 0
28.4, 3.140, 32, 1 -1 0
28.8, 3.096, 45, 0 0 2
29.2, 3.054, 48, 0 2 0
38.8, 2.319, 100, 2 2 0
39.1, 2.302, 32, 2 0 0
40.7, 2.217, 56, 0 2 -2

***

For LiAc2Ni4Sn3, a GGA-PBE-relaxed structure gives the computed X-ray diffraction stick pattern in this record (Cu Kα (weighted mean of Kα1 and Kα2)).
Lines closer than 0.1° are merged.

Atomic structure:
```
data_LiAc2Ni4Sn3
_space_group_name_H-M_alt 'P -4 m 2'
_space_group_IT_number 115
_cell_length_a 4.498
_cell_length_b 4.498
_cell_length_c 10.439
_cell_angle_alpha 90.00
_cell_angle_beta 90.00
_cell_angle_gamma 90.00
loop_
_space_group_symop_operation_xyz
'x,y,z'
'y,-x,-z'
'-x,-y,z'
'-y,x,-z'
'-x,y,z'
'-y,-x,-z'
'x,-y,z'
'y,x,-z'
loop_
_atom_site_label
_atom_site_type_symbol
_atom_site_fract_x
_atom_site_fract_y
_atom_site_fract_z
_atom_site_occupancy
Li1 Li 0.000 0.000 0.000 1
Ac1 Ac 0.000 0.500 0.746 1
Ni1 Ni 0.000 0.000 0.500 1
Ni2 Ni 0.000 0.500 0.130 1
Ni3 Ni 0.500 0.500 0.500 1
Sn1 Sn 0.000 0.500 0.378 1
Sn2 Sn 0.500 0.500 0.000 1
```

The 8 most intense peaks (10° ≤ 2θ ≤ 80°), sorted by position:
2θ/deg, d/Å, I_rel, h k l
21.5, 4.131, 24, 1 0 1
28.1, 3.181, 44, 1 1 0
32.5, 2.752, 100, 1 0 3
33.0, 2.716, 92, 1 1 2
40.1, 2.249, 64, 2 0 0
48.0, 1.894, 34, 1 0 5
52.5, 1.742, 53, 2 1 3
64.3, 1.449, 28, 2 1 5

***

For Li3Ac2NpO6, a GGA-PBE-relaxed structure gives the computed X-ray diffraction stick pattern in this record (Cu Kα (weighted mean of Kα1 and Kα2)).
Lines closer than 0.1° are merged.

Atomic structure:
```
data_Li3Ac2NpO6
_space_group_name_H-M_alt 'C 1 2/m 1'
_space_group_IT_number 12
_cell_length_a 6.458
_cell_length_b 11.706
_cell_length_c 5.794
_cell_angle_alpha 90.00
_cell_angle_beta 99.95
_cell_angle_gamma 90.00
loop_
_space_group_symop_operation_xyz
'x,y,z'
'-x,-y,-z'
'-x,y,-z'
'x,-y,z'
'x+1/2,y+1/2,z'
'-x+1/2,-y+1/2,-z'
'-x+1/2,y+1/2,-z'
'x+1/2,-y+1/2,z'
loop_
_atom_site_label
_atom_site_type_symbol
_atom_site_fract_x
_atom_site_fract_y
_atom_site_fract_z
_atom_site_occupancy
Li1 Li 0.000 0.000 0.000 1
Li2 Li 0.000 0.345 0.000 1
Ac1 Ac 0.000 0.167 0.500 1
Np1 Np 0.000 0.500 0.500 1
O1 O 0.121 0.350 0.309 1
O2 O 0.154 0.000 0.303 1
```

The 8 most intense peaks (10° ≤ 2θ ≤ 80°), sorted by position:
2θ/deg, d/Å, I_rel, h k l
15.5, 5.707, 100, 0 0 1
26.8, 3.326, 40, 1 3 0
28.1, 3.181, 24, 2 0 0
29.8, 2.994, 48, 1 3 -1
31.3, 2.853, 15, 0 0 2
32.4, 2.767, 26, 1 3 1
34.6, 2.594, 17, 2 0 1
39.7, 2.269, 24, 1 3 -2

***

For Li2Ac3O6, a GGA-PBE-relaxed structure gives the computed X-ray diffraction stick pattern in this record (Cu Kα (weighted mean of Kα1 and Kα2)).
Lines closer than 0.1° are merged.

Atomic structure:
```
data_Li2Ac3O6
_space_group_name_H-M_alt 'I 4/m m m'
_space_group_IT_number 139
_space_group_name_Hall '-I 4 2'
_cell_length_a 3.953
_cell_length_b 3.953
_cell_length_c 20.271
_cell_angle_alpha 90.00
_cell_angle_beta 90.00
_cell_angle_gamma 90.00
loop_
_atom_site_label
_atom_site_type_symbol
_atom_site_fract_x
_atom_site_fract_y
_atom_site_fract_z
_atom_site_occupancy
Li1 Li 0.000 0.000 0.102 1
Ac1 Ac 0.000 0.000 0.325 1
Ac2 Ac 0.000 0.000 0.500 1
O1 O 0.000 0.000 0.203 1
O2 O 0.000 0.500 0.084 1
```

The 8 most intense peaks (10° ≤ 2θ ≤ 80°), sorted by position:
2θ/deg, d/Å, I_rel, h k l
22.9, 3.880, 100, 1 0 1
26.4, 3.379, 36, 0 0 6
31.6, 2.830, 72, 1 0 5
32.0, 2.795, 55, 1 1 0
42.0, 2.154, 65, 1 1 6
45.9, 1.976, 30, 2 0 0
51.9, 1.761, 24, 2 1 1
56.8, 1.620, 29, 2 1 5

***

For Li2AcOs2O7, a GGA-PBE-relaxed structure gives the computed X-ray diffraction stick pattern in this record (Cu Kα (weighted mean of Kα1 and Kα2)).
Lines closer than 0.1° are merged.

Atomic structure:
```
data_Li2AcOs2O7
_space_group_name_H-M_alt 'I 4/m m m'
_space_group_IT_number 139
_space_group_name_Hall '-I 4 2'
_cell_length_a 3.961
_cell_length_b 3.961
_cell_length_c 18.371
_cell_angle_alpha 90.00
_cell_angle_beta 90.00
_cell_angle_gamma 90.00
loop_
_atom_site_label
_atom_site_type_symbol
_atom_site_fract_x
_atom_site_fract_y
_atom_site_fract_z
_atom_site_occupancy
Li1 Li 0.000 0.500 0.250 1
Ac1 Ac 0.000 0.000 0.000 1
Os1 Os 0.000 0.000 0.386 1
O1 O 0.000 0.000 0.282 1
O2 O 0.000 0.000 0.500 1
O3 O 0.000 0.500 0.102 1
```

The 8 most intense peaks (10° ≤ 2θ ≤ 80°), sorted by position:
2θ/deg, d/Å, I_rel, h k l
26.8, 3.326, 100, 1 0 3
32.0, 2.801, 56, 1 1 0
33.3, 2.694, 83, 1 0 5
33.4, 2.679, 19, 1 1 2
45.8, 1.981, 33, 2 0 0
51.5, 1.776, 25, 1 1 8
53.9, 1.702, 30, 2 1 3
57.8, 1.596, 36, 2 1 5

***

For LiAcOsO5, a GGA-PBE-relaxed structure gives the computed X-ray diffraction stick pattern in this record (Cu Kα (weighted mean of Kα1 and Kα2)).
Lines closer than 0.1° are merged.

Atomic structure:
```
data_LiAcOsO5
_space_group_name_H-M_alt 'C 1 2/c 1'
_space_group_IT_number 15
_cell_length_a 6.530
_cell_length_b 9.376
_cell_length_c 7.307
_cell_angle_alpha 90.00
_cell_angle_beta 109.16
_cell_angle_gamma 90.00
loop_
_space_group_symop_operation_xyz
'x,y,z'
'-x,-y,-z'
'-x,y,-z+1/2'
'x,-y,z+1/2'
'x+1/2,y+1/2,z'
'-x+1/2,-y+1/2,-z'
'-x+1/2,y+1/2,-z+1/2'
'x+1/2,-y+1/2,z+1/2'
loop_
_atom_site_label
_atom_site_type_symbol
_atom_site_fract_x
_atom_site_fract_y
_atom_site_fract_z
_atom_site_occupancy
Li1 Li 0.000 0.189 0.250 1
Ac1 Ac 0.000 0.157 0.750 1
Os1 Os 0.000 0.500 0.000 1
O1 O 0.000 0.446 0.750 1
O2 O 0.099 0.308 0.084 1
O3 O 0.199 0.057 0.437 1
```

The 8 most intense peaks (10° ≤ 2θ ≤ 80°), sorted by position:
2θ/deg, d/Å, I_rel, h k l
18.4, 4.810, 72, 1 1 -1
22.9, 3.878, 52, 0 2 1
24.2, 3.674, 33, 1 1 1
26.9, 3.319, 100, 1 1 -2
29.0, 3.084, 69, 2 0 0
32.1, 2.788, 93, 1 3 0
32.2, 2.779, 44, 0 2 2
35.0, 2.561, 35, 1 1 2

***

For LiAc2PO6, a GGA-PBE-relaxed structure gives the computed X-ray diffraction stick pattern in this record (Cu Kα (weighted mean of Kα1 and Kα2)).
Lines closer than 0.1° are merged.

Atomic structure:
```
data_LiAc2PO6
_space_group_name_H-M_alt 'P 4 m m'
_space_group_IT_number 99
_cell_length_a 5.413
_cell_length_b 5.413
_cell_length_c 4.153
_cell_angle_alpha 90.00
_cell_angle_beta 90.00
_cell_angle_gamma 90.00
loop_
_space_group_symop_operation_xyz
'x,y,z'
'-y,x,z'
'-x,-y,z'
'y,-x,z'
'-x,y,z'
'y,x,z'
'x,-y,z'
'-y,-x,z'
loop_
_atom_site_label
_atom_site_type_symbol
_atom_site_fract_x
_atom_site_fract_y
_atom_site_fract_z
_atom_site_occupancy
Li1 Li 0.000 0.000 0.000 1
Ac1 Ac 0.000 0.500 0.482 1
P1 P 0.500 0.500 0.964 1
O1 O 0.000 0.000 0.509 1
O2 O 0.284 0.284 0.032 1
O3 O 0.500 0.500 0.575 1
```

The 8 most intense peaks (10° ≤ 2θ ≤ 80°), sorted by position:
2θ/deg, d/Å, I_rel, h k l
21.4, 4.153, 44, 0 0 1
23.2, 3.827, 71, 1 1 0
31.8, 2.815, 100, 1 1 1
33.1, 2.706, 45, 2 0 0
39.8, 2.267, 66, 2 0 1
47.5, 1.914, 26, 2 2 0
50.0, 1.825, 22, 1 1 2
58.3, 1.583, 36, 3 1 1

***

For LiAc2Pd2O6, a GGA-PBE-relaxed structure gives the computed X-ray diffraction stick pattern in this record (Cu Kα (weighted mean of Kα1 and Kα2)).
Lines closer than 0.1° are merged.

Atomic structure:
```
data_LiAc2Pd2O6
_space_group_name_H-M_alt 'R -3 m'
_space_group_IT_number 166
_space_group_name_Hall '-R 3 2"'
_cell_length_a 5.9189
_cell_length_b 5.9189
_cell_length_c 16.4136
_cell_angle_alpha 90.00
_cell_angle_beta 90.00
_cell_angle_gamma 120.00
loop_
_atom_site_label
_atom_site_type_symbol
_atom_site_fract_x
_atom_site_fract_y
_atom_site_fract_z
_atom_site_occupancy
Li1 Li 0.0000 0.0000 0.0000 1
Ac1 Ac 0.0000 0.0000 0.2172 1
Pd1 Pd 0.0000 0.0000 0.4127 1
O1 O 0.0470 0.5235 0.7594 1
```

The 8 most intense peaks (10° ≤ 2θ ≤ 80°), sorted by position:
2θ/deg, d/Å, I_rel, h k l
16.2, 5.471, 23, 0 0 3
20.4, 4.348, 43, 0 1 2
30.2, 2.959, 100, 1 1 0
32.4, 2.764, 63, 0 1 5
36.7, 2.446, 23, 2 0 2
44.9, 2.020, 31, 2 0 5
53.6, 1.709, 20, 3 0 0
55.0, 1.669, 34, 1 2 5

***

For LiAc3Pt2O8, a GGA-PBE-relaxed structure gives the computed X-ray diffraction stick pattern in this record (Cu Kα (weighted mean of Kα1 and Kα2)).
Lines closer than 0.1° are merged.

Atomic structure:
```
data_LiAc3Pt2O8
_space_group_name_H-M_alt 'P -3 m 1'
_space_group_IT_number 164
_space_group_name_Hall '-P 3 2"'
_cell_length_a 5.4237
_cell_length_b 5.4237
_cell_length_c 8.0290
_cell_angle_alpha 90.00
_cell_angle_beta 90.00
_cell_angle_gamma 120.00
loop_
_atom_site_label
_atom_site_type_symbol
_atom_site_fract_x
_atom_site_fract_y
_atom_site_fract_z
_atom_site_occupancy
Li1 Li 0.0000 0.0000 0.0000 1
Ac1 Ac 0.0000 0.0000 0.5000 1
Ac2 Ac 0.3333 0.6667 0.1236 1
Pt1 Pt 0.3333 0.6667 0.6699 1
O1 O 0.1706 0.3412 0.8427 1
O2 O 0.3333 0.6667 0.4320 1
```

The 8 most intense peaks (10° ≤ 2θ ≤ 80°), sorted by position:
2θ/deg, d/Å, I_rel, h k l
21.9, 4.054, 29, 0 1 1
29.3, 3.052, 100, 0 1 2
33.0, 2.712, 87, 1 1 0
38.7, 2.325, 18, 1 0 3
44.7, 2.027, 43, 2 0 2
49.4, 1.846, 19, 1 0 4
56.7, 1.624, 34, 1 2 2
59.0, 1.566, 17, 3 0 0

***

For Li4AcPu3O12, a GGA-PBE-relaxed structure gives the computed X-ray diffraction stick pattern in this record (Cu Kα (weighted mean of Kα1 and Kα2)).
Lines closer than 0.1° are merged.

Atomic structure:
```
data_Li4AcPu3O12
_space_group_name_H-M_alt 'I m -3'
_space_group_IT_number 204
_space_group_name_Hall '-I 2 2 3'
_cell_length_a 7.722
_cell_length_b 7.722
_cell_length_c 7.722
_cell_angle_alpha 90.00
_cell_angle_beta 90.00
_cell_angle_gamma 90.00
loop_
_atom_site_label
_atom_site_type_symbol
_atom_site_fract_x
_atom_site_fract_y
_atom_site_fract_z
_atom_site_occupancy
Li1 Li 0.250 0.250 0.250 1
Ac1 Ac 0.000 0.000 0.000 1
Pu1 Pu 0.000 0.000 0.500 1
O1 O 0.000 0.314 0.177 1
```

The 8 most intense peaks (10° ≤ 2θ ≤ 80°), sorted by position:
2θ/deg, d/Å, I_rel, h k l
23.0, 3.861, 100, 2 0 0
32.8, 2.730, 84, 2 2 0
40.5, 2.229, 40, 2 2 2
47.1, 1.931, 20, 4 0 0
53.0, 1.727, 43, 4 0 2
58.6, 1.576, 41, 4 2 2
73.6, 1.287, 24, 6 0 0
78.3, 1.221, 16, 6 2 0

***

For LiAc2RhO6, a GGA-PBE-relaxed structure gives the computed X-ray diffraction stick pattern in this record (Cu Kα (weighted mean of Kα1 and Kα2)).
Lines closer than 0.1° are merged.

Atomic structure:
```
data_LiAc2RhO6
_space_group_name_H-M_alt 'P 1 21/c 1'
_space_group_IT_number 14
_cell_length_a 5.705
_cell_length_b 5.696
_cell_length_c 9.849
_cell_angle_alpha 90.00
_cell_angle_beta 125.35
_cell_angle_gamma 90.00
loop_
_space_group_symop_operation_xyz
'x,y,z'
'-x,-y,-z'
'-x,y+1/2,-z+1/2'
'x,-y+1/2,z+1/2'
loop_
_atom_site_label
_atom_site_type_symbol
_atom_site_fract_x
_atom_site_fract_y
_atom_site_fract_z
_atom_site_occupancy
Li1 Li 0.000 0.000 0.000 1
Ac1 Ac 0.254 0.033 0.749 1
Rh1 Rh 0.500 0.000 0.500 1
O1 O 0.194 0.008 0.257 1
O2 O 0.259 0.711 0.033 1
O3 O 0.324 0.224 0.033 1
```

The 8 most intense peaks (10° ≤ 2θ ≤ 80°), sorted by position:
2θ/deg, d/Å, I_rel, h k l
19.1, 4.649, 10, 1 0 0
22.1, 4.026, 39, 0 0 2
31.4, 2.847, 100, 2 0 -2
38.7, 2.325, 23, 2 0 -4
45.0, 2.015, 17, 2 2 -2
55.9, 1.645, 26, 3 1 -5
56.0, 1.642, 14, 2 0 2
65.6, 1.423, 12, 2 2 -6

***

For Li2AcRh3O8, a GGA-PBE-relaxed structure gives the computed X-ray diffraction stick pattern in this record (Cu Kα (weighted mean of Kα1 and Kα2)).
Lines closer than 0.1° are merged.

Atomic structure:
```
data_Li2AcRh3O8
_space_group_name_H-M_alt 'C 1 m 1'
_space_group_IT_number 8
_cell_length_a 10.804
_cell_length_b 6.398
_cell_length_c 6.267
_cell_angle_alpha 90.00
_cell_angle_beta 123.87
_cell_angle_gamma 90.00
loop_
_space_group_symop_operation_xyz
'x,y,z'
'x,-y,z'
'x+1/2,y+1/2,z'
'x+1/2,-y+1/2,z'
loop_
_atom_site_label
_atom_site_type_symbol
_atom_site_fract_x
_atom_site_fract_y
_atom_site_fract_z
_atom_site_occupancy
Li1 Li 0.000 0.000 0.000 1
Li2 Li 0.118 0.500 0.380 1
Ac1 Ac 0.387 0.000 0.612 1
Rh1 Rh 0.000 0.000 0.494 1
Rh2 Rh 0.252 0.253 0.998 1
O1 O 0.028 0.205 0.766 1
O2 O 0.230 0.000 0.767 1
O3 O 0.233 0.000 0.176 1
O4 O 0.243 0.500 0.791 1
O5 O 0.265 0.500 0.233 1
O6 O 0.475 0.268 0.254 1
```

The 8 most intense peaks (10° ≤ 2θ ≤ 80°), sorted by position:
2θ/deg, d/Å, I_rel, h k l
17.0, 5.207, 41, 0 0 1
17.5, 5.071, 57, 2 0 -1
19.8, 4.479, 71, 1 1 -1
28.5, 3.136, 65, 3 1 -1
32.9, 2.726, 100, 2 0 1
33.1, 2.706, 72, 1 1 -2
33.6, 2.667, 38, 4 0 -1
34.4, 2.604, 34, 2 2 0

***

For LiAcRuO4, a GGA-PBE-relaxed structure gives the computed X-ray diffraction stick pattern in this record (Cu Kα (weighted mean of Kα1 and Kα2)).
Lines closer than 0.1° are merged.

Atomic structure:
```
data_LiAcRuO4
_space_group_name_H-M_alt 'I m m a'
_space_group_IT_number 74
_space_group_name_Hall '-I 2b 2'
_cell_length_a 6.533
_cell_length_b 8.238
_cell_length_c 8.767
_cell_angle_alpha 90.00
_cell_angle_beta 90.00
_cell_angle_gamma 90.00
loop_
_atom_site_label
_atom_site_type_symbol
_atom_site_fract_x
_atom_site_fract_y
_atom_site_fract_z
_atom_site_occupancy
Li1 Li 0.000 0.250 0.011 1
Ac1 Ac 0.000 0.000 0.500 1
Ru1 Ru 0.250 0.250 0.250 1
O1 O 0.000 0.095 0.228 1
O2 O 0.218 0.250 0.479 1
```

The 8 most intense peaks (10° ≤ 2θ ≤ 80°), sorted by position:
2θ/deg, d/Å, I_rel, h k l
14.8, 6.003, 52, 0 1 1
16.9, 5.239, 100, 1 0 1
27.5, 3.238, 64, 1 2 1
29.8, 3.002, 42, 0 2 2
34.2, 2.619, 30, 2 0 2
35.1, 2.559, 48, 2 2 0
40.3, 2.239, 25, 1 2 3
55.2, 1.665, 25, 2 2 4